1.
This entry pairs a crystal structure of CeCo2Ge4 with its theoretical XRD peak list. Radiation: Cu Kα, 1.54184 Å. Structure: a structure optimized by DFT (GGA-PBE).
Peak positions follow from Bragg's law for the DFT cell and can differ from measured ones.

Most intense lines, 2θ from 5° to 70°, in order of rising 2θ:
2theta	I_rel
35.0	9
37.0	100
38.5	15
39.7	20
43.8	27
45.2	10
57.3	11
60.6	12

Atomic structure:
Cell: 16.9945 4.1310 6.4335 Å, 90.00 90.00 90.00°
Positions (direct):
Ce: 0.1393 0.2500 0.0086
Ce: 0.3607 0.7500 0.5086
Ce: 0.6393 0.2500 0.4914
Ce: 0.8607 0.7500 0.9914
Co: 0.0324 0.7500 0.7489
Co: 0.2103 0.2500 0.4910
Co: 0.2897 0.7500 0.9910
Co: 0.4676 0.2500 0.2489
Co: 0.5324 0.7500 0.7511
Co: 0.7103 0.2500 0.0090
Co: 0.7897 0.7500 0.5090
Co: 0.9676 0.2500 0.2511
Ge: 0.0289 0.7500 0.1431
Ge: 0.0677 0.2500 0.5194
Ge: 0.1812 0.7500 0.6987
Ge: 0.1983 0.7500 0.2894
Ge: 0.3017 0.2500 0.7894
Ge: 0.3188 0.2500 0.1987
Ge: 0.4323 0.7500 0.0194
Ge: 0.4711 0.2500 0.6431
Ge: 0.5289 0.7500 0.3569
Ge: 0.5677 0.2500 0.9806
Ge: 0.6812 0.7500 0.8013
Ge: 0.6983 0.7500 0.2106
Ge: 0.8017 0.2500 0.7106
Ge: 0.8188 0.2500 0.3013
Ge: 0.9323 0.7500 0.4806
Ge: 0.9711 0.2500 0.8569

---

2.
This entry pairs a crystal structure of Ce3Co4Ge2 with its theoretical XRD peak list. Radiation: Cu Kα, 1.54184 Å. Structure: a structure optimized by DFT (GGA-PBE).
Peak positions follow from Bragg's law for the DFT cell and can differ from measured ones.

Most intense lines, 2θ from 5° to 70°, in order of rising 2θ:
2theta	I_rel
25.9	74
30.4	28
32.8	100
34.0	35
41.8	66
41.9	35
42.7	56
44.9	38

Atomic structure:
Cell: 5.7519 5.7519 7.0672 Å, 90.30 90.30 43.24°
Positions (direct):
Ce: 0.0000 0.0000 0.0000
Ce: 0.3794 0.3794 0.6311
Ce: 0.6206 0.6206 0.3689
Co: 0.0729 0.0729 0.6694
Co: 0.2672 0.2672 0.8935
Co: 0.7328 0.7328 0.1065
Co: 0.9271 0.9271 0.3306
Ge: 0.3320 0.3320 0.2153
Ge: 0.6680 0.6680 0.7847